Structure and theoretical XRD peak list of Ac2NdVO6 (a cell relaxed with PBE+U; copper Kα).
Kinematic intensities with the Lorentz-polarization factor, no thermal factor.

Top 10 peaks for 15 to 90 degrees two-theta, most intense first:
- 29.48°, d = 3.030 Å, I 100.0
- 29.82°, d = 2.997 Å, I 97.4
- 30.15°, d = 2.964 Å, I 46.9
- 52.33°, d = 1.748 Å, I 45.1
- 29.37°, d = 3.041 Å, I 41.5
- 42.59°, d = 2.123 Å, I 38.9
- 20.92°, d = 4.246 Å, I 25.8
- 42.26°, d = 2.139 Å, I 25.4
- 53.54°, d = 1.711 Å, I 25.1
- 52.92°, d = 1.730 Å, I 21.6

Atomic structure:
Cell: 5.929 6.083 10.333 Å, 90.00 124.12 90.00°
Space group P2_1/c (No. 14)
Inequivalent atoms, fractional coordinates:
Ac: 0.235 0.049 0.249
Nd: 0.500 0.000 0.000
V: 0.000 0.000 0.500
O: 0.125 0.219 0.941
O: 0.225 0.689 0.945
O: 0.341 0.040 0.735